Theoretical powder diffractogram of Li3Tl3Sn for Cu Kα, 1.54184 Å, from DFT lattice parameters and positions (PBE).
Kinematic intensities with the Lorentz-polarization factor, no thermal factor.

Crystal structure
```
Li3Tl3Sn
1.0
7.3796 0.0000 0.0000
0.0000 7.3796 0.0000
0.0000 0.0000 7.3796
Li Tl Sn
6 6 2
Cartesian
0.0000 1.8449 3.6898
0.0000 5.5347 3.6898
1.8449 3.6898 0.0000
3.6898 0.0000 1.8449
3.6898 0.0000 5.5347
5.5347 3.6898 0.0000
0.0000 3.6898 1.8449
0.0000 3.6898 5.5347
1.8449 0.0000 3.6898
3.6898 1.8449 0.0000
3.6898 5.5347 0.0000
5.5347 0.0000 3.6898
0.0000 0.0000 0.0000
3.6898 3.6898 3.6898
```

Peak list (8 most intense, 2θ from 5° to 70°, in order of falling intensity)
hkl 2 1 0, 27.0 deg, d = 3.300 Å, rel. 100; hkl 2 1 1, 29.7 deg, d = 3.013 Å, rel. 56; hkl 3 2 1, 46.0 deg, d = 1.972 Å, rel. 34; hkl 3 2 0, 44.3 deg, d = 2.047 Å, rel. 27; hkl 4 2 1, 57.2 deg, d = 1.610 Å, rel. 26; hkl 2 0 0, 24.1 deg, d = 3.690 Å, rel. 23; hkl 5 2 0, 68.5 deg, d = 1.370 Å, rel. 23; hkl 4 0 0, 49.4 deg, d = 1.845 Å, rel. 18